# CaCeNiN2
Computed powder XRD pattern, a wavelength of 1.5418 Å. Input: a cell relaxed with PBE.

Principal peaks in the range 2θ from 10° to 90°, most intense first:
2θ (°)	intensity
36.82	100
18.88	61
38.31	37
31.31	32
25.07	31
33.05	27

```
data_CaCeNiN2
_cell_length_a 4.7011
_cell_length_b 5.4214
_cell_length_c 6.7220
_cell_angle_alpha 90.00
_cell_angle_beta 90.07
_cell_angle_gamma 90.00
_space_group_name_H-M_alt 'P 1'
_space_group_IT_number 1
_space_group_name_Hall 'P 1'
loop_
_atom_site_label
_atom_site_type_symbol
_atom_site_fract_x
_atom_site_fract_y
_atom_site_fract_z
Ca1 Ca 0.0000 0.0007 0.2500
Ca2 Ca 0.0000 0.9993 0.7500
Ce1 Ce 0.5000 0.5004 0.2500
Ce2 Ce 0.5000 0.4996 0.7500
Ni1 Ni 0.5000 0.0000 0.0000
Ni2 Ni 0.5000 0.0000 0.5000
N1 N 0.2719 0.2762 0.0000
N2 N 0.2719 0.7238 0.5000
N3 N 0.7281 0.2762 0.5000
N4 N 0.7281 0.7238 0.0000
```

***

# PuPtO4
Computed powder XRD pattern, a wavelength of 1.5418 Å. Input: a cell relaxed with PBE.

Principal peaks in the range 2θ from 10° to 90°, most intense first:
2θ (°)	intensity
29.08	100
56.75	33
48.81	29
33.16	29
47.59	15
58.88	15

```
data_PuPtO4
_cell_length_a 6.4206
_cell_length_b 6.4206
_cell_length_c 6.4206
_cell_angle_alpha 130.23
_cell_angle_beta 130.23
_cell_angle_gamma 73.05
_space_group_name_H-M_alt 'P 1'
_space_group_IT_number 1
_space_group_name_Hall 'P 1'
loop_
_atom_site_label
_atom_site_type_symbol
_atom_site_fract_x
_atom_site_fract_y
_atom_site_fract_z
Pu1 Pu 0.2500 0.2500 0.0000
Pu2 Pu 0.7500 0.7500 0.0000
Pt1 Pt 0.0000 0.5000 0.5000
Pt2 Pt 0.5000 0.0000 0.5000
O1 O 0.0458 0.5458 0.8628
O2 O 0.1830 0.0458 0.5000
O3 O 0.3170 0.8170 0.8628
O4 O 0.4542 0.3170 0.5000
O5 O 0.5458 0.6830 0.5000
O6 O 0.6830 0.1830 0.1372
O7 O 0.8170 0.9542 0.5000
O8 O 0.9542 0.4542 0.1372
```

***

# Y3Zn8Cu
Computed powder XRD pattern, a wavelength of 1.5418 Å. Input: a cell relaxed with PBE.

Principal peaks in the range 2θ from 10° to 90°, most intense first:
2θ (°)	intensity
39.33	100
33.37	44
41.21	37
39.39	35
63.64	22
70.18	17

```
data_Y3Zn8Cu
_cell_length_a 9.3231
_cell_length_b 9.3231
_cell_length_c 9.3231
_cell_angle_alpha 33.44
_cell_angle_beta 33.44
_cell_angle_gamma 33.44
_space_group_name_H-M_alt 'P 1'
_space_group_IT_number 1
_space_group_name_Hall 'P 1'
loop_
_atom_site_label
_atom_site_type_symbol
_atom_site_fract_x
_atom_site_fract_y
_atom_site_fract_z
Y1 Y 0.0000 0.0000 0.0000
Y2 Y 0.1268 0.1268 0.1268
Y3 Y 0.6127 0.6127 0.6127
Zn1 Zn 0.0598 0.0598 0.5578
Zn2 Zn 0.0598 0.5578 0.0598
Zn3 Zn 0.0621 0.5612 0.5613
Zn4 Zn 0.3099 0.3099 0.3099
Zn5 Zn 0.5578 0.0598 0.0598
Zn6 Zn 0.5612 0.0621 0.5612
Zn7 Zn 0.5612 0.5612 0.0621
Zn8 Zn 0.8106 0.8106 0.8106
Cu1 Cu 0.4921 0.4921 0.4921
```

***

# TbGa5Co2Ni
Computed powder XRD pattern, a wavelength of 1.5418 Å. Input: a cell relaxed with PBE.

Principal peaks in the range 2θ from 10° to 90°, most intense first:
2θ (°)	intensity
39.39	100
37.74	82
56.10	41
30.40	39
32.04	37
56.93	33

```
data_TbGa5Co2Ni
_cell_length_a 4.5747
_cell_length_b 4.5747
_cell_length_c 7.0536
_cell_angle_alpha 90.00
_cell_angle_beta 90.00
_cell_angle_gamma 90.00
_space_group_name_H-M_alt 'P 1'
_space_group_IT_number 1
_space_group_name_Hall 'P 1'
loop_
_atom_site_label
_atom_site_type_symbol
_atom_site_fract_x
_atom_site_fract_y
_atom_site_fract_z
Tb1 Tb 0.0000 0.0000 0.0000
Ga1 Ga 0.0000 0.5000 0.3096
Ga2 Ga 0.0000 0.5000 0.6904
Ga3 Ga 0.5000 0.0000 0.3096
Ga4 Ga 0.5000 0.0000 0.6904
Ga5 Ga 0.5000 0.5000 0.0000
Co1 Co 0.5000 0.5000 0.3182
Co2 Co 0.5000 0.5000 0.6818
Ni1 Ni 0.0000 0.0000 0.5000
```

***

# PaMoAs
Computed powder XRD pattern, a wavelength of 1.5418 Å. Input: a cell relaxed with PBE.

Principal peaks in the range 2θ from 10° to 90°, most intense first:
2θ (°)	intensity
34.56	100
40.47	53
54.25	28
69.82	27
23.04	26
68.04	23

```
data_PaMoAs
_cell_length_a 4.4578
_cell_length_b 4.4578
_cell_length_c 3.5060
_cell_angle_alpha 90.00
_cell_angle_beta 90.00
_cell_angle_gamma 120.00
_space_group_name_H-M_alt 'P 1'
_space_group_IT_number 1
_space_group_name_Hall 'P 1'
loop_
_atom_site_label
_atom_site_type_symbol
_atom_site_fract_x
_atom_site_fract_y
_atom_site_fract_z
Pa1 Pa 0.0000 0.0000 0.0000
Mo1 Mo 0.6667 0.3333 0.5000
As1 As 0.3333 0.6667 0.5000
```

***

# Ce2Ni2As3
Computed powder XRD pattern, a wavelength of 1.5418 Å. Input: a cell relaxed with PBE.

Principal peaks in the range 2θ from 10° to 90°, most intense first:
2θ (°)	intensity
34.43	100
35.95	46
35.43	44
44.60	43
38.71	34
37.87	33

```
data_Ce2Ni2As3
_cell_length_a 5.3627
_cell_length_b 5.3627
_cell_length_c 6.7987
_cell_angle_alpha 105.52
_cell_angle_beta 105.52
_cell_angle_gamma 44.53
_space_group_name_H-M_alt 'P 1'
_space_group_IT_number 1
_space_group_name_Hall 'P 1'
loop_
_atom_site_label
_atom_site_type_symbol
_atom_site_fract_x
_atom_site_fract_y
_atom_site_fract_z
Ce1 Ce 0.1393 0.1393 0.2877
Ce2 Ce 0.8607 0.8607 0.7123
Ni1 Ni 0.1484 0.1484 0.7763
Ni2 Ni 0.8516 0.8516 0.2237
As1 As 0.3804 0.3804 0.0454
As2 As 0.5000 0.5000 0.5000
As3 As 0.6196 0.6196 0.9546
```

***

# Re3HgO12
Computed powder XRD pattern, a wavelength of 1.5418 Å. Input: a cell relaxed with PBE.

Principal peaks in the range 2θ from 10° to 90°, most intense first:
2θ (°)	intensity
21.40	100
12.64	71
26.23	60
32.83	30
25.44	26
17.33	25

```
data_Re3HgO12
_cell_length_a 11.5014
_cell_length_b 11.5014
_cell_length_c 11.5014
_cell_angle_alpha 46.52
_cell_angle_beta 46.52
_cell_angle_gamma 46.52
_space_group_name_H-M_alt 'P 1'
_space_group_IT_number 1
_space_group_name_Hall 'P 1'
loop_
_atom_site_label
_atom_site_type_symbol
_atom_site_fract_x
_atom_site_fract_y
_atom_site_fract_z
Re1 Re 0.0254 0.2790 0.6956
Re2 Re 0.1956 0.7790 0.5254
Re3 Re 0.2790 0.6956 0.0254
Re4 Re 0.5254 0.1956 0.7790
Re5 Re 0.6956 0.0254 0.2790
Re6 Re 0.7790 0.5254 0.1956
Hg1 Hg 0.4102 0.4102 0.4102
Hg2 Hg 0.9102 0.9102 0.9102
O1 O 0.0382 0.1056 0.7107
O2 O 0.0652 0.9784 0.4154
O3 O 0.0986 0.7576 0.7406
O4 O 0.1056 0.7107 0.0382
O5 O 0.2107 0.6056 0.5382
O6 O 0.2406 0.2576 0.5986
O7 O 0.2576 0.5986 0.2406
O8 O 0.2751 0.9022 0.9102
O9 O 0.4022 0.7751 0.4102
O10 O 0.4102 0.4022 0.7751
O11 O 0.4154 0.0652 0.9784
O12 O 0.4784 0.5652 0.9154
O13 O 0.5382 0.2107 0.6056
O14 O 0.5652 0.9154 0.4784
O15 O 0.5986 0.2406 0.2576
O16 O 0.6056 0.5382 0.2107
O17 O 0.7107 0.0382 0.1056
O18 O 0.7406 0.0986 0.7576
O19 O 0.7576 0.7406 0.0986
O20 O 0.7751 0.4102 0.4022
O21 O 0.9022 0.9102 0.2751
O22 O 0.9102 0.2751 0.9022
O23 O 0.9154 0.4784 0.5652
O24 O 0.9784 0.4154 0.0652
```

***

# Sc2PaCo
Computed powder XRD pattern, a wavelength of 1.5418 Å. Input: a cell relaxed with PBE.

Principal peaks in the range 2θ from 10° to 90°, most intense first:
2θ (°)	intensity
19.57	100
35.45	97
18.22	96
33.12	71
33.46	66
33.93	63

```
data_Sc2PaCo
_cell_length_a 6.5055
_cell_length_b 9.0722
_cell_length_c 5.7692
_cell_angle_alpha 90.00
_cell_angle_beta 90.00
_cell_angle_gamma 90.00
_space_group_name_H-M_alt 'P 1'
_space_group_IT_number 1
_space_group_name_Hall 'P 1'
loop_
_atom_site_label
_atom_site_type_symbol
_atom_site_fract_x
_atom_site_fract_y
_atom_site_fract_z
Sc1 Sc 0.1760 0.0632 0.1650
Sc2 Sc 0.1760 0.4368 0.1650
Sc3 Sc 0.3240 0.5632 0.6650
Sc4 Sc 0.3240 0.9368 0.6650
Sc5 Sc 0.6760 0.0632 0.3350
Sc6 Sc 0.6760 0.4368 0.3350
Sc7 Sc 0.8240 0.5632 0.8350
Sc8 Sc 0.8240 0.9368 0.8350
Pa1 Pa 0.0460 0.2500 0.6588
Pa2 Pa 0.4540 0.7500 0.1588
Pa3 Pa 0.5460 0.2500 0.8412
Pa4 Pa 0.9540 0.7500 0.3412
Co1 Co 0.1338 0.7500 0.9639
Co2 Co 0.3662 0.2500 0.4639
Co3 Co 0.6338 0.7500 0.5361
Co4 Co 0.8662 0.2500 0.0361
```

***

# GaTeAu
Computed powder XRD pattern, a wavelength of 1.5418 Å. Input: a cell relaxed with PBE.

Principal peaks in the range 2θ from 10° to 90°, most intense first:
2θ (°)	intensity
24.95	100
53.97	45
26.73	45
45.92	41
42.62	41
43.51	38

```
data_GaTeAu
_cell_length_a 6.8298
_cell_length_b 6.6213
_cell_length_c 7.8401
_cell_angle_alpha 90.00
_cell_angle_beta 114.43
_cell_angle_gamma 90.00
_space_group_name_H-M_alt 'P 1'
_space_group_IT_number 1
_space_group_name_Hall 'P 1'
loop_
_atom_site_label
_atom_site_type_symbol
_atom_site_fract_x
_atom_site_fract_y
_atom_site_fract_z
Ga1 Ga 0.1209 0.1034 0.3002
Ga2 Ga 0.1209 0.3966 0.8002
Ga3 Ga 0.8791 0.6034 0.1998
Ga4 Ga 0.8791 0.8966 0.6998
Te1 Te 0.3482 0.1266 0.6864
Te2 Te 0.3482 0.3734 0.1864
Te3 Te 0.6518 0.6266 0.8136
Te4 Te 0.6518 0.8734 0.3136
Au1 Au 0.2358 0.7438 0.7487
Au2 Au 0.2358 0.7562 0.2487
Au3 Au 0.7642 0.2438 0.7513
Au4 Au 0.7642 0.2562 0.2513
```

***

# CeBi2O7
Computed powder XRD pattern, a wavelength of 1.5418 Å. Input: a cell relaxed with PBE.

Principal peaks in the range 2θ from 10° to 90°, most intense first:
2θ (°)	intensity
27.11	100
33.20	64
46.79	59
25.33	53
30.09	52
48.53	46

```
data_CeBi2O7
_cell_length_a 10.7842
_cell_length_b 10.7842
_cell_length_c 10.7842
_cell_angle_alpha 20.74
_cell_angle_beta 20.74
_cell_angle_gamma 20.74
_space_group_name_H-M_alt 'P 1'
_space_group_IT_number 1
_space_group_name_Hall 'P 1'
loop_
_atom_site_label
_atom_site_type_symbol
_atom_site_fract_x
_atom_site_fract_y
_atom_site_fract_z
Ce1 Ce 0.0000 0.0000 0.0000
Bi1 Bi 0.4333 0.4333 0.4333
Bi2 Bi 0.5667 0.5667 0.5667
O1 O 0.0749 0.0749 0.0749
O2 O 0.2221 0.2221 0.2221
O3 O 0.3589 0.3589 0.3589
O4 O 0.5000 0.5000 0.5000
O5 O 0.6411 0.6411 0.6411
O6 O 0.7779 0.7779 0.7779
O7 O 0.9251 0.9251 0.9251
```

***

# BaAlRhO6
Computed powder XRD pattern, a wavelength of 1.5418 Å. Input: a cell relaxed with PBE.

Principal peaks in the range 2θ from 10° to 90°, most intense first:
2θ (°)	intensity
25.23	100
47.25	34
35.00	22
57.12	20
43.63	18
20.00	12

```
data_BaAlRhO6
_cell_length_a 5.1272
_cell_length_b 5.1272
_cell_length_c 5.8207
_cell_angle_alpha 90.00
_cell_angle_beta 90.00
_cell_angle_gamma 120.00
_space_group_name_H-M_alt 'P 1'
_space_group_IT_number 1
_space_group_name_Hall 'P 1'
loop_
_atom_site_label
_atom_site_type_symbol
_atom_site_fract_x
_atom_site_fract_y
_atom_site_fract_z
Ba1 Ba 0.0000 0.0000 0.0000
Al1 Al 0.3333 0.6667 0.5000
Rh1 Rh 0.6667 0.3333 0.5000
O1 O 0.0039 0.3937 0.6869
O2 O 0.0039 0.6103 0.3131
O3 O 0.3897 0.3937 0.3131
O4 O 0.3897 0.9961 0.6869
O5 O 0.6063 0.6103 0.6869
O6 O 0.6063 0.9961 0.3131
```

***

# TlBr2Cl
Computed powder XRD pattern, a wavelength of 1.5418 Å. Input: a cell relaxed with PBE.

Principal peaks in the range 2θ from 10° to 90°, most intense first:
2θ (°)	intensity
16.76	100
12.19	91
33.87	43
28.67	36
28.99	34
34.12	16

```
data_TlBr2Cl
_cell_length_a 4.0289
_cell_length_b 5.2948
_cell_length_c 7.5217
_cell_angle_alpha 87.43
_cell_angle_beta 75.08
_cell_angle_gamma 89.99
_space_group_name_H-M_alt 'P 1'
_space_group_IT_number 1
_space_group_name_Hall 'P 1'
loop_
_atom_site_label
_atom_site_type_symbol
_atom_site_fract_x
_atom_site_fract_y
_atom_site_fract_z
Tl1 Tl 0.0000 0.0000 0.0000
Br1 Br 0.3825 0.9828 0.2673
Br2 Br 0.6445 0.0170 0.7323
Cl1 Cl 0.0858 0.5000 0.9997
```

***

# Ho4Al2InAg
Computed powder XRD pattern, a wavelength of 1.5418 Å. Input: a cell relaxed with PBE.

Principal peaks in the range 2θ from 10° to 90°, most intense first:
2θ (°)	intensity
34.85	100
34.74	100
62.44	54
24.41	37
50.03	35
62.21	17

```
data_Ho4Al2InAg
_cell_length_a 8.9535
_cell_length_b 8.9535
_cell_length_c 8.9535
_cell_angle_alpha 33.42
_cell_angle_beta 33.42
_cell_angle_gamma 33.42
_space_group_name_H-M_alt 'P 1'
_space_group_IT_number 1
_space_group_name_Hall 'P 1'
loop_
_atom_site_label
_atom_site_type_symbol
_atom_site_fract_x
_atom_site_fract_y
_atom_site_fract_z
Ho1 Ho 0.1220 0.1220 0.1220
Ho2 Ho 0.3725 0.3725 0.3725
Ho3 Ho 0.6275 0.6275 0.6275
Ho4 Ho 0.8780 0.8780 0.8780
Al1 Al 0.2502 0.2502 0.2502
Al2 Al 0.7498 0.7498 0.7498
In1 In 0.5000 0.5000 0.5000
Ag1 Ag 0.0000 0.0000 0.0000
```